(1)
The following is a simulated X-ray powder pattern of Ag2Pt. It was derived from the GGA-PBE geometry in Alexandria, using Cu Kα (λ = 1.5418 Å).
Peak positions follow from Bragg's law for the DFT cell and can differ from measured ones.

Most intense lines, 2θ = 15–90°, in order of rising 2θ:
two_theta  I/Imax  (hkl)
37.7  53  1 0 -4
38.2  50  3 0 0
38.5  100  1 1 2
44.1  33  2 0 4
44.6  66  2 1 -2
64.2  21  0 1 6
64.8  19  4 1 2
77.1  13  3 1 -6
77.4  12  3 1 6
77.6  12  5 1 -2
78.3  12  1 2 -4
78.6  12  3 2 0

Cell and atoms:
a = 7.0758 Å, b = 2.8428 Å, c = 10.1127 Å
α = 90.00°, β = 90.23°, γ = 90.00°
Space group P2/m (No. 10)
Unique sites:
Ag 0.0091 0.0000 0.2497
Ag 0.3301 0.5000 0.8292
Ag 0.3318 0.0000 0.0812
Ag 0.3491 0.5000 0.3375
Pt 0.0000 0.5000 0.0000
Pt 0.0000 0.5000 0.5000
Pt 0.3157 0.0000 0.5796


(2)
The following is a simulated X-ray powder pattern of LiSn2AsSe4. It was derived from the GGA-PBE geometry in Alexandria, using Cu Kα (λ = 1.5418 Å).
Peak positions follow from Bragg's law for the DFT cell and can differ from measured ones.

Most intense lines, 2θ = 15–90°, in order of rising 2θ:
two_theta  I/Imax  (hkl)
25.6  14  1 2 1
30.9  100  2 2 0
31.3  48  0 0 4
34.0  17  1 2 3
44.2  18  0 4 0
44.5  18  4 0 0
44.6  71  2 2 4
55.1  19  0 4 4
55.4  18  4 0 4
73.5  23  6 2 0
74.0  15  2 2 8
82.0  12  6 2 4

Cell and atoms:
a = 8.1445 Å, b = 8.2003 Å, c = 11.4268 Å
α = 90.00°, β = 90.00°, γ = 90.00°
Space group Imma (No. 74)
Unique sites:
Li 0.0000 0.0000 0.0000
Sn 0.0000 0.0000 0.5000
Sn 0.2500 0.2500 0.2500
As 0.2500 0.2500 0.7500
Se 0.0000 0.0165 0.7602
Se 0.2354 0.2500 0.9913


(3)
The following is a simulated X-ray powder pattern of DyF3. It was derived from the GGA-PBE geometry in Alexandria, using Cu Kα (λ = 1.5418 Å).
Peak positions follow from Bragg's law for the DFT cell and can differ from measured ones.

Most intense lines, 2θ = 15–90°, in order of rising 2θ:
two_theta  I/Imax  (hkl)
25.4  36  0 0 2
26.1  25  1 1 0
29.1  100  1 1 1
36.7  11  1 1 2
46.0  37  3 0 0
47.1  48  1 1 3
53.3  31  3 0 2
55.4  18  2 2 1
68.0  13  2 2 3
72.1  12  0 3 4
74.8  15  1 4 1
86.0  12  4 1 3

Cell and atoms:
a = 6.8314 Å, b = 6.8314 Å, c = 7.0073 Å
α = 90.00°, β = 90.00°, γ = 120.00°
Space group P-3c1 (No. 165)
Unique sites:
Dy 0.0000 0.3462 0.2500
F 0.0000 0.0000 0.2500
F 0.0695 0.3752 0.9218
F 0.3333 0.6667 0.1836


Question: What is the formula in the third record?
Answer: DyF3


Question: What is the formula in the second record?
Answer: LiSn2AsSe4